Entry 1:
Structure and theoretical PXRD pattern of OsXeO4F6 (a crystal structure in the Materials Project, relaxed with PBE; Cu Kα (λ = 1.5418 Å)).
No peak broadening, texture or thermal motion is included.

Atomic structure:
```
data_OsXeO4F6
_chemical_formula_sum 'Os2 Xe2 O8 F12'
_cell_length_a 5.3552
_cell_length_b 8.0693
_cell_length_c 9.6336
_cell_angle_alpha 80.77
_cell_angle_beta 81.61
_cell_angle_gamma 87.93
_space_group_name_H-M_alt 'P -1'
_space_group_IT_number 2
loop_
_space_group_symop_operation_xyz
'x,y,z'
'-x,-y,-z'
loop_
_atom_site_label
_atom_site_fract_x
_atom_site_fract_y
_atom_site_fract_z
_atom_site_occupancy
Os1 0.1207 0.1656 0.3654 1
Xe1 0.4412 0.2786 0.8373 1
O1 0.0166 0.2243 0.2051 1
O2 0.0620 0.7110 0.5297 1
O3 0.2664 0.4510 0.9104 1
O4 0.4110 0.2544 0.3463 1
F1 0.1363 0.1264 0.8764 1
F2 0.1778 0.0136 0.5649 1
F3 0.2322 0.5887 0.2121 1
F4 0.2713 0.9561 0.3102 1
F5 0.3582 0.3620 0.6385 1
F6 0.4580 0.8222 0.9699 1
```

Top 10 peaks for 15° ≤ 2θ ≤ 90°, low angle first:
4.925 Å, 2θ 18.01, intensity 50
4.381 Å, 2θ 20.27, intensity 100
4.362 Å, 2θ 20.36, intensity 71
3.982 Å, 2θ 22.33, intensity 28
3.928 Å, 2θ 22.64, intensity 29
3.798 Å, 2θ 23.42, intensity 63
3.728 Å, 2θ 23.87, intensity 33
2.219 Å, 2θ 40.66, intensity 24
2.178 Å, 2θ 41.46, intensity 20
2.101 Å, 2θ 43.06, intensity 22

Entry 2:
Structure and theoretical PXRD pattern of P2O3F4 (a crystal structure in the Materials Project, relaxed with PBE; Cu Kα (λ = 1.5418 Å)).
No peak broadening, texture or thermal motion is included.

Atomic structure:
```
data_P2O3F4
_chemical_formula_sum 'P8 O12 F16'
_cell_length_a 12.6959
_cell_length_b 6.7704
_cell_length_c 6.7601
_cell_angle_alpha 90.00
_cell_angle_beta 90.00
_cell_angle_gamma 90.00
_space_group_name_H-M_alt 'P c c a'
_space_group_IT_number 54
loop_
_space_group_symop_operation_xyz
'x,y,z'
'-x,-y,-z'
'-x+1/2,-y,z'
'x+1/2,y,-z'
'x+1/2,-y,-z+1/2'
'-x+1/2,y,z+1/2'
'-x,y,-z+1/2'
'x,-y,z+1/2'
loop_
_atom_site_label
_atom_site_fract_x
_atom_site_fract_y
_atom_site_fract_z
_atom_site_occupancy
P1 0.0986 0.1894 0.1275 1
O1 0.0000 0.2692 0.2500 1
O2 0.1098 0.0215 0.5900 1
F1 0.0924 0.3262 0.9441 1
F2 0.1901 0.2908 0.2401 1
```

Top 10 peaks for 15° ≤ 2θ ≤ 90°, low angle first:
4.477 Å, 2θ 19.83, intensity 97
3.820 Å, 2θ 23.28, intensity 100
3.385 Å, 2θ 26.33, intensity 31
3.266 Å, 2θ 27.30, intensity 16
3.173 Å, 2θ 28.12, intensity 36
2.942 Å, 2θ 30.38, intensity 20
2.643 Å, 2θ 33.92, intensity 29
2.460 Å, 2θ 36.52, intensity 23
2.110 Å, 2θ 42.86, intensity 10
1.945 Å, 2θ 46.69, intensity 10

Entry 3:
Structure and theoretical PXRD pattern of Rb2PO3F (a crystal structure in the Materials Project, relaxed with PBE; Cu Kα (λ = 1.5418 Å)).
No peak broadening, texture or thermal motion is included.

Atomic structure:
```
data_Rb2PO3F
_chemical_formula_sum 'Rb8 P4 O12 F4'
_cell_length_a 8.0664
_cell_length_b 6.2359
_cell_length_c 10.6936
_cell_angle_alpha 90.00
_cell_angle_beta 90.00
_cell_angle_gamma 90.00
_space_group_name_H-M_alt 'P n m a'
_space_group_IT_number 62
loop_
_space_group_symop_operation_xyz
'x,y,z'
'-x,-y,-z'
'-x+1/2,-y,z+1/2'
'x+1/2,y,-z+1/2'
'x+1/2,-y+1/2,-z+1/2'
'-x+1/2,y+1/2,z+1/2'
'-x,y+1/2,-z'
'x,-y+1/2,z'
loop_
_atom_site_label
_atom_site_fract_x
_atom_site_fract_y
_atom_site_fract_z
_atom_site_occupancy
Rb1 0.0071 0.2500 0.2180 1
Rb2 0.1763 0.2500 0.5774 1
P1 0.2421 0.2500 0.9138 1
O1 0.1884 0.7500 0.5466 1
O2 0.2301 0.5436 0.3408 1
F1 0.0361 0.2500 0.9370 1
```

Top 10 peaks for 15° ≤ 2θ ≤ 90°, low angle first:
3.626 Å, 2θ 24.55, intensity 15
3.387 Å, 2θ 26.32, intensity 15
3.226 Å, 2θ 27.65, intensity 100
3.118 Å, 2θ 28.63, intensity 50
3.095 Å, 2θ 28.85, intensity 83
2.608 Å, 2θ 34.39, intensity 21
2.240 Å, 2θ 40.26, intensity 32
2.000 Å, 2θ 45.34, intensity 15
1.814 Å, 2θ 50.31, intensity 22
1.796 Å, 2θ 50.85, intensity 15

Entry 4:
Structure and theoretical PXRD pattern of SbPOF8 (a crystal structure in the Materials Project, relaxed with PBE; Cu Kα (λ = 1.5418 Å)).
No peak broadening, texture or thermal motion is included.

Atomic structure:
```
data_SbPOF8
_chemical_formula_sum 'Sb4 P4 O4 F32'
_cell_length_a 5.6035
_cell_length_b 17.5132
_cell_length_c 7.7106
_cell_angle_alpha 90.00
_cell_angle_beta 99.56
_cell_angle_gamma 90.00
_space_group_name_H-M_alt 'P 1 21/c 1'
_space_group_IT_number 14
loop_
_space_group_symop_operation_xyz
'x,y,z'
'-x,-y,-z'
'-x,y+1/2,-z+1/2'
'x,-y+1/2,z+1/2'
loop_
_atom_site_label
_atom_site_fract_x
_atom_site_fract_y
_atom_site_fract_z
_atom_site_occupancy
Sb1 0.0337 0.1223 0.2612 1
P1 0.3747 0.6307 0.6444 1
O1 0.1734 0.6271 0.4957 1
F1 0.0836 0.7230 0.2108 1
F2 0.1283 0.0228 0.1991 1
F3 0.2198 0.1209 0.4904 1
F4 0.2463 0.5798 0.1683 1
F5 0.2848 0.1637 0.1513 1
F6 0.2892 0.6269 0.8215 1
F7 0.4405 0.0664 0.8518 1
F8 0.4746 0.2035 0.8472 1
```

Top 10 peaks for 15° ≤ 2θ ≤ 90°, low angle first:
5.741 Å, 2θ 15.43, intensity 55
5.526 Å, 2θ 16.04, intensity 21
4.378 Å, 2θ 20.28, intensity 58
4.257 Å, 2θ 20.87, intensity 100
3.802 Å, 2θ 23.40, intensity 31
3.753 Å, 2θ 23.71, intensity 48
2.914 Å, 2θ 30.68, intensity 12
2.504 Å, 2θ 35.86, intensity 14
2.435 Å, 2θ 36.92, intensity 17
2.107 Å, 2θ 42.92, intensity 13